Record 1
For Na4B4Sb2SO16, the PBE geometry in the Materials Project gives the simulated X-ray powder pattern in this record (Cu Kα, 1.54184 Å).

Cell and atoms:
```
54
Lattice="0.000 6.991 7.221 6.945 0.000 7.221 6.945 6.991 0.000" Properties=species:S:1:pos:R:3 pbc="T T T"
Na 5.209 1.135 5.416
Na 9.283 5.243 5.416
Na 8.681 4.630 9.026
Na 12.756 8.738 9.026
Na 1.134 5.243 5.416
Na 5.209 9.351 5.416
Na 4.607 8.738 9.026
Na 8.681 12.846 9.026
B 6.461 4.005 6.632
B 6.461 6.481 4.199
B 3.956 4.005 4.199
B 9.933 7.500 7.810
B 3.956 6.481 6.632
B 9.933 9.976 10.243
B 7.429 7.500 10.243
B 7.429 9.976 7.810
Sb 6.945 3.495 3.610
Sb 3.472 6.991 3.610
Sb 3.472 3.495 7.221
Sb 6.945 6.991 7.221
S 1.736 1.748 1.805
S 12.154 12.233 12.637
O 2.611 0.871 2.646
O 2.611 2.624 0.964
O 0.861 0.871 0.964
O 7.297 3.835 5.550
O 6.685 5.456 3.300
O 4.996 3.108 3.964
O 5.422 3.108 6.868
O 0.861 2.624 2.646
O 7.297 6.651 5.282
O 3.732 5.030 3.300
O 8.894 6.603 7.574
O 10.157 8.525 6.910
O 10.769 7.330 8.892
O 6.685 5.030 7.531
O 5.422 7.378 3.964
O 3.121 3.835 5.282
O 10.769 10.146 9.160
O 8.468 6.603 10.478
O 7.205 8.951 6.910
O 3.121 6.651 5.550
O 3.732 5.456 7.531
O 4.996 7.378 6.868
O 10.157 8.951 11.142
O 6.593 7.330 9.160
O 13.029 11.357 11.796
O 8.468 10.873 7.574
O 8.894 10.873 10.478
O 7.205 8.525 11.142
O 6.593 10.146 8.892
O 13.029 13.110 13.478
O 11.279 11.357 13.478
O 11.279 13.110 11.796
```

Most intense lines, 10° ≤ 2θ ≤ 90°, by angle:
- 10.87 deg, intensity 100
- 17.69 deg, intensity 20
- 20.53 deg, intensity 63
- 21.03 deg, intensity 40
- 21.13 deg, intensity 41
- 21.84 deg, intensity 68
- 32.30 deg, intensity 22
- 33.27 deg, intensity 24
- 33.47 deg, intensity 24
- 35.88 deg, intensity 21

Record 2
For Na6B4Sb2SO16, the PBE geometry in the Materials Project gives the simulated X-ray powder pattern in this record (Cu Kα, 1.54184 Å).

Cell and atoms:
```
58
Lattice="0.000 7.169 7.169 7.169 0.000 7.169 7.169 7.169 0.000" Properties=species:S:1:pos:R:3 pbc="T T T"
Na 5.377 5.377 1.246
Na 5.377 1.246 5.377
Na 9.508 5.377 5.377
Na 8.962 8.962 4.831
Na 8.962 4.831 8.962
Na 13.092 8.962 8.962
Na 1.246 5.377 5.377
Na 5.377 9.508 5.377
Na 5.377 5.377 9.508
Na 4.831 8.962 8.962
Na 8.962 13.092 8.962
Na 8.962 8.962 13.092
B 4.040 4.040 4.040
B 6.714 6.714 4.040
B 6.714 4.040 6.714
B 10.299 7.624 7.624
B 4.040 6.714 6.714
B 7.624 10.299 7.624
B 7.624 7.624 10.299
B 10.299 10.299 10.299
Sb 7.169 3.585 3.585
Sb 3.585 7.169 3.585
Sb 3.585 3.585 7.169
Sb 7.169 7.169 7.169
S 1.792 1.792 1.792
S 12.546 12.546 12.546
O 0.928 0.928 0.928
O 2.657 2.657 0.928
O 2.657 0.928 2.657
O 6.891 5.676 3.131
O 5.078 3.131 3.863
O 7.623 3.863 5.676
O 3.863 5.078 3.131
O 7.623 6.891 5.078
O 5.676 3.131 6.891
O 0.928 2.657 2.657
O 10.475 8.662 6.715
O 9.261 6.715 7.448
O 11.208 7.448 8.662
O 5.676 7.623 3.863
O 3.131 3.863 5.078
O 6.891 5.078 7.623
O 7.448 9.261 6.715
O 11.208 10.475 9.261
O 8.662 6.715 10.475
O 3.131 6.891 5.676
O 5.078 7.623 6.891
O 3.863 5.676 7.623
O 13.411 11.682 11.682
O 8.662 11.208 7.448
O 6.715 7.448 9.261
O 10.475 9.261 11.208
O 6.715 10.475 8.662
O 9.261 11.208 10.475
O 7.448 8.662 11.208
O 11.682 13.411 11.682
O 11.682 11.682 13.411
O 13.411 13.411 13.411
```

Most intense lines, 10° ≤ 2θ ≤ 90°, by angle:
- 10.69 deg, intensity 50
- 20.54 deg, intensity 100
- 21.47 deg, intensity 39
- 32.45 deg, intensity 57
- 35.41 deg, intensity 57
- 37.09 deg, intensity 23
- 41.79 deg, intensity 32
- 45.16 deg, intensity 18
- 55.50 deg, intensity 25
- 55.90 deg, intensity 22

Record 3
For Na2BSbSO7, the PBE geometry in the Materials Project gives the simulated X-ray powder pattern in this record (Cu Kα, 1.54184 Å).

Cell and atoms:
```
24
Lattice="5.571 0.000 0.000 0.000 6.906 0.000 -0.378 0.000 9.501" Properties=species:S:1:pos:R:3 pbc="T T T"
Na 1.285 0.016 1.872
Na 1.285 3.437 1.872
Na 3.907 3.469 7.629
Na 3.907 6.890 7.629
B 1.096 1.727 8.671
B 4.096 5.180 0.830
Sb 1.023 1.727 6.127
Sb 4.170 5.180 3.374
S 1.313 5.180 5.745
S 3.879 1.727 3.756
O -0.084 1.727 7.819
O 0.584 3.987 6.322
O 0.584 6.372 6.322
O 1.190 5.180 4.254
O 1.478 1.727 0.471
O 2.242 1.727 7.775
O 2.468 1.727 3.354
O 2.724 5.180 6.147
O 2.950 5.180 1.726
O 3.715 5.180 9.030
O 4.003 1.727 5.247
O 4.609 0.534 3.179
O 4.609 2.919 3.179
O 5.276 5.180 1.682
```

Most intense lines, 10° ≤ 2θ ≤ 90°, by angle:
- 15.87 deg, intensity 87
- 18.15 deg, intensity 49
- 20.49 deg, intensity 62
- 24.14 deg, intensity 70
- 25.12 deg, intensity 84
- 25.80 deg, intensity 68
- 27.46 deg, intensity 45
- 31.73 deg, intensity 46
- 32.14 deg, intensity 100
- 40.34 deg, intensity 39

Record 4
For Na2SiBSbO7, the PBE geometry in the Materials Project gives the simulated X-ray powder pattern in this record (Cu Kα, 1.54184 Å).

Cell and atoms:
```
24
Lattice="5.442 0.000 0.000 0.000 6.640 0.000 -0.511 0.000 9.371" Properties=species:S:1:pos:R:3 pbc="T T T"
Na 1.139 0.035 2.849
Na 1.139 3.285 2.849
Na 3.792 3.355 6.523
Na 3.792 6.605 6.523
Si 0.984 1.660 8.773
Si 3.947 4.980 0.599
B 1.220 4.980 5.426
B 3.710 1.660 3.945
Sb 0.748 4.980 7.916
Sb 4.182 1.660 1.456
O -0.067 4.980 6.060
O 0.628 1.660 0.802
O 0.625 0.349 7.860
O 0.625 2.971 7.860
O 1.502 4.980 4.155
O 2.323 4.980 0.220
O 2.193 4.980 6.512
O 2.737 1.660 2.860
O 2.608 1.660 9.151
O 3.429 1.660 5.217
O 4.306 3.669 1.511
O 4.306 6.291 1.511
O 4.303 4.980 8.569
O 4.998 1.660 3.312
```

Most intense lines, 10° ≤ 2θ ≤ 90°, by angle:
- 16.36 deg, intensity 100
- 19.32 deg, intensity 28
- 21.13 deg, intensity 44
- 24.40 deg, intensity 56
- 25.77 deg, intensity 26
- 26.85 deg, intensity 32
- 32.76 deg, intensity 21
- 32.97 deg, intensity 23
- 33.30 deg, intensity 24
- 36.56 deg, intensity 30